For HoMn6Sn4Ge2, DFT lattice parameters and positions (GGA-PBE) gives the computed XRD peak list in this record (Cu Kα).

The 6 most intense peaks (2θ from 10° to 80°), sorted by position:
33.52 deg, intensity 100; 36.66 deg, intensity 79; 38.89 deg, intensity 42; 39.60 deg, intensity 80; 44.35 deg, intensity 44; 61.98 deg, intensity 35

```
HoMn6Sn4Ge2
1.0
5.3476 0.0000 0.0000
-2.6738 4.6311 0.0000
0.0000 0.0000 8.6693
Ho Mn Sn Ge
1 6 4 2
direct
0.0000 0.0000 0.0000
0.0000 0.5000 0.2328
0.0000 0.5000 0.7672
0.5000 0.0000 0.2328
0.5000 0.0000 0.7672
0.5000 0.5000 0.2328
0.5000 0.5000 0.7672
0.0000 0.0000 0.3338
0.0000 0.0000 0.6662
0.3333 0.6667 0.5000
0.6667 0.3333 0.5000
0.3333 0.6667 0.0000
0.6667 0.3333 0.0000
```

---

For Mg14NbCO16, DFT lattice parameters and positions (GGA-PBE) gives the computed XRD peak list in this record (Cu Kα).

The 6 most intense peaks (2θ from 10° to 80°), sorted by position:
36.28 deg, intensity 24; 42.07 deg, intensity 100; 42.29 deg, intensity 49; 61.00 deg, intensity 28; 61.17 deg, intensity 55; 77.02 deg, intensity 25

```
Mg14NbCO16
1.0
4.2959 0.0000 0.0000
0.0000 8.5491 0.0000
0.0000 0.0000 8.5919
Mg Nb C O
14 1 1 16
direct
0.0000 0.0000 0.0000
0.0000 0.2417 0.2497
0.0000 0.2417 0.7503
0.0000 0.5000 0.0000
0.0000 0.7583 0.2497
0.0000 0.7583 0.7503
0.5000 0.0000 0.2556
0.5000 0.0000 0.7444
0.5000 0.2344 0.5000
0.5000 0.2466 0.0000
0.5000 0.5000 0.2429
0.5000 0.5000 0.7571
0.5000 0.7534 0.0000
0.5000 0.7656 0.5000
0.0000 0.5000 0.5000
0.0000 0.0000 0.5000
0.0000 0.0000 0.2375
0.0000 0.0000 0.7625
0.0000 0.2465 0.5000
0.0000 0.2516 0.0000
0.0000 0.5000 0.2429
0.0000 0.5000 0.7571
0.0000 0.7484 0.0000
0.0000 0.7535 0.5000
0.5000 0.0000 0.0000
0.5000 0.0000 0.5000
0.5000 0.2510 0.2518
0.5000 0.2510 0.7482
0.5000 0.5000 0.0000
0.5000 0.5000 0.5000
0.5000 0.7490 0.2518
0.5000 0.7490 0.7482
```

---

For RhS, DFT lattice parameters and positions (GGA-PBE) gives the computed XRD peak list in this record (Cu Kα).

The 6 most intense peaks (2θ from 10° to 80°), sorted by position:
27.73 deg, intensity 46; 28.31 deg, intensity 57; 31.61 deg, intensity 100; 50.12 deg, intensity 44; 51.54 deg, intensity 57; 58.24 deg, intensity 33

```
RhS
1.0
3.6400 0.0000 0.0000
-1.8200 3.1523 0.0000
0.0000 0.0000 6.4340
Rh S
2 2
direct
0.3333 0.6667 0.0000
0.6667 0.3333 0.5000
0.3333 0.6667 0.3633
0.6667 0.3333 0.8633
```

---

For SrCuAs, DFT lattice parameters and positions (GGA-PBE) gives the computed XRD peak list in this record (Cu Kα).

The 6 most intense peaks (2θ from 10° to 80°), sorted by position:
31.91 deg, intensity 100; 42.12 deg, intensity 49; 42.29 deg, intensity 16; 53.80 deg, intensity 22; 61.22 deg, intensity 31; 70.59 deg, intensity 19

```
SrCuAs
1.0
4.2906 0.0000 0.0000
-2.1453 3.7158 0.0000
0.0000 0.0000 8.5483
Sr Cu As
2 2 2
direct
0.0000 0.0000 0.0000
0.0000 0.0000 0.5000
0.3333 0.6667 0.2500
0.6667 0.3333 0.7500
0.3333 0.6667 0.7500
0.6667 0.3333 0.2500
```

---

For RbIn5S8, DFT lattice parameters and positions (GGA-PBE) gives the computed XRD peak list in this record (Cu Kα).

The 6 most intense peaks (2θ from 10° to 80°), sorted by position:
19.27 deg, intensity 100; 23.28 deg, intensity 99; 27.44 deg, intensity 92; 35.83 deg, intensity 92; 37.61 deg, intensity 69; 48.35 deg, intensity 83

```
RbIn5S8
1.0
9.6539 -1.9635 0.0000
9.6539 1.9635 0.0000
-1.9957 0.0000 9.1824
Rb In S
1 5 8
direct
0.0000 0.0000 0.0000
0.1475 0.1475 0.4189
0.2117 0.2117 0.8392
0.5000 0.5000 0.5000
0.7883 0.7883 0.1608
0.8525 0.8525 0.5811
0.0837 0.0837 0.6297
0.2637 0.2637 0.3473
0.3341 0.3341 0.0204
0.4263 0.4263 0.7072
0.5737 0.5737 0.2928
0.6659 0.6659 0.9796
0.7363 0.7363 0.6527
0.9163 0.9163 0.3703
```